Simulated X-ray diffraction stick pattern
Compound: Sm2CdAu2
Radiation: CuKα
Structure: the PBE geometry in the Materials Project

Unit cell a=8.1205 b=8.1205 c=3.7859 alpha=90.00 beta=90.00 gamma=90.00
Space group P4/mbm (No. 127)
Symmetry-distinct sites (fractional):
Sm1 0.1744 0.3256 0.0000 (multiplicity 4)
Cd1 0.0000 0.0000 0.5000 (multiplicity 2)
Au1 0.1261 0.6261 0.5000 (multiplicity 4)

Most intense lines, 2θ = 10–80°, by angle:
hkl 1 1 0, 15.43 deg, I = 132; hkl 2 0 1, 32.33 deg, I = 188; hkl 2 1 1, 34.21 deg, I = 1000; hkl 3 1 0, 34.94 deg, I = 387; hkl 3 2 0, 40.03 deg, I = 126; hkl 3 2 1, 46.94 deg, I = 96; hkl 0 0 2, 48.07 deg, I = 128; hkl 3 1 2, 60.79 deg, I = 155; hkl 5 1 1, 63.36 deg, I = 107; hkl 5 2 1, 66.78 deg, I = 128